# 1
RbLi2Br3: simulated powder diffraction line list (Cu Ka), based on a DFT-relaxed cell (GGA-PBE, Alexandria).
Intensities are scaled so that the largest is 100.

Peak list (10 most intense, 2θ from 10° to 80°, sorted by position)
2θ = 27.21°, intensity 100
2θ = 27.31°, intensity 27
2θ = 28.11°, intensity 13
2θ = 29.83°, intensity 26
2θ = 41.44°, intensity 11
2θ = 44.95°, intensity 11
2θ = 47.52°, intensity 11
2θ = 51.38°, intensity 21
2θ = 53.11°, intensity 11
2θ = 54.89°, intensity 10

Cell and atoms:
abc: 8.066 8.066 5.991
angles: 90.00 90.00 103.85
Sites, in units of the cell vectors:
Rb: 0.192 0.808 0.750
Rb: 0.808 0.192 0.250
Li: 0.339 0.339 0.000
Li: 0.339 0.339 0.500
Li: 0.661 0.661 0.000
Li: 0.661 0.661 0.500
Br: 0.093 0.329 0.750
Br: 0.329 0.093 0.250
Br: 0.396 0.604 0.250
Br: 0.604 0.396 0.750
Br: 0.671 0.907 0.750
Br: 0.907 0.671 0.250


# 2
RbLi2SbBr6: simulated powder diffraction line list (Cu Ka), based on a DFT-relaxed cell (GGA-PBE, Alexandria).
Intensities are scaled so that the largest is 100.

Peak list (10 most intense, 2θ from 10° to 80°, sorted by position)
2θ = 10.58°, intensity 56
2θ = 16.22°, intensity 42
2θ = 20.36°, intensity 28
2θ = 27.60°, intensity 100
2θ = 32.13°, intensity 22
2θ = 33.36°, intensity 94
2θ = 41.40°, intensity 24
2θ = 44.79°, intensity 42
2θ = 50.87°, intensity 26
2θ = 56.98°, intensity 20

Cell and atoms:
abc: 9.288 9.288 9.288
angles: 44.34 44.34 44.34
Sites, in units of the cell vectors:
Rb: 0.000 0.000 0.000
Li: 0.170 0.170 0.170
Li: 0.830 0.830 0.830
Sb: 0.500 0.500 0.500
Br: 0.099 0.775 0.440
Br: 0.225 0.560 0.901
Br: 0.440 0.099 0.775
Br: 0.560 0.901 0.225
Br: 0.775 0.440 0.099
Br: 0.901 0.225 0.560


# 3
Rb2LiSbBr6: simulated powder diffraction line list (Cu Ka), based on a DFT-relaxed cell (GGA-PBE, Alexandria).
Intensities are scaled so that the largest is 100.

Peak list (10 most intense, 2θ from 10° to 80°, sorted by position)
2θ = 13.77°, intensity 19
2θ = 22.59°, intensity 14
2θ = 26.55°, intensity 15
2θ = 27.75°, intensity 92
2θ = 32.15°, intensity 100
2θ = 46.11°, intensity 71
2θ = 54.68°, intensity 39
2θ = 57.33°, intensity 25
2θ = 74.25°, intensity 16
2θ = 76.52°, intensity 32

Cell and atoms:
abc: 7.874 7.874 7.874
angles: 60.00 60.00 60.00
Sites, in units of the cell vectors:
Rb: 0.250 0.250 0.250
Rb: 0.750 0.750 0.750
Li: 0.000 0.000 0.000
Sb: 0.500 0.500 0.500
Br: 0.247 0.247 0.753
Br: 0.247 0.753 0.247
Br: 0.247 0.753 0.753
Br: 0.753 0.247 0.247
Br: 0.753 0.247 0.753
Br: 0.753 0.753 0.247


# 4
RbLiSmBr5: simulated powder diffraction line list (Cu Ka), based on a DFT-relaxed cell (GGA-PBE, Alexandria).
Intensities are scaled so that the largest is 100.

Peak list (10 most intense, 2θ from 10° to 80°, sorted by position)
2θ = 12.21°, intensity 91
2θ = 18.04°, intensity 100
2θ = 20.30°, intensity 35
2θ = 25.67°, intensity 59
2θ = 26.16°, intensity 62
2θ = 29.06°, intensity 94
2θ = 31.45°, intensity 33
2θ = 34.94°, intensity 31
2θ = 37.22°, intensity 31
2θ = 42.87°, intensity 41

Cell and atoms:
abc: 8.041 8.041 10.808
angles: 103.72 103.72 107.20
Sites, in units of the cell vectors:
Rb: 0.153 0.847 0.750
Rb: 0.847 0.153 0.250
Li: 0.192 0.808 0.250
Li: 0.808 0.192 0.750
Sm: 0.500 0.500 0.000
Sm: 0.500 0.500 0.500
Br: 0.124 0.257 0.924
Br: 0.192 0.594 0.392
Br: 0.257 0.124 0.424
Br: 0.406 0.808 0.108
Br: 0.421 0.579 0.750
Br: 0.579 0.421 0.250
Br: 0.594 0.192 0.892
Br: 0.743 0.876 0.576
Br: 0.808 0.406 0.608
Br: 0.876 0.743 0.076